# Cs3Hg7Pt
Simulated X-ray diffraction stick pattern, Cu Kα (weighted mean of Kα1 and Kα2). Input: the PBE geometry in Alexandria.
Lines closer than 0.1° are merged.

Structural model:
```
data_Cs3Hg7Pt
_chemical_formula_sum 'Cs12 Hg28 Pt4'
_cell_length_a 10.004
_cell_length_b 18.037
_cell_length_c 9.972
_cell_angle_alpha 90.00
_cell_angle_beta 98.13
_cell_angle_gamma 90.00
_space_group_name_H-M_alt 'C 1 m 1'
_space_group_IT_number 8
loop_
_space_group_symop_operation_xyz
'x,y,z'
'x,-y,z'
'x+1/2,y+1/2,z'
'x+1/2,-y+1/2,z'
loop_
_atom_site_label
_atom_site_type_symbol
_atom_site_fract_x
_atom_site_fract_y
_atom_site_fract_z
_atom_site_occupancy
Cs1 Cs 0.000 0.000 0.000 1
Cs2 Cs 0.009 0.500 0.485 1
Cs3 Cs 0.394 0.257 0.393 1
Cs4 Cs 0.447 0.250 0.911 1
Hg1 Hg 0.149 0.089 0.342 1
Hg2 Hg 0.166 0.410 0.848 1
Hg3 Hg 0.169 0.396 0.174 1
Hg4 Hg 0.178 0.151 0.650 1
Hg5 Hg 0.301 0.000 0.783 1
Hg6 Hg 0.344 0.092 0.129 1
Hg7 Hg 0.361 0.500 0.357 1
Hg8 Hg 0.374 0.412 0.649 1
Pt1 Pt 0.006 0.500 0.991 1
Pt2 Pt 0.094 0.000 0.570 1
```

Main lines, sorted by position (5° ≤ 2θ ≤ 70°):
two_theta  intensity  h k l
9.81  100.0  0 2 0
12.72  40.1  1 1 -1
14.40  55.7  1 1 1
26.76  85.4  0 4 2
27.74  73.4  1 1 -3
28.25  32.5  1 5 1
29.04  32.5  2 2 2
30.90  32.7  2 4 -2
36.05  33.8  3 1 -3
37.12  26.2  1 5 -3
38.30  33.4  2 6 -2
47.63  23.3  0 6 4


# Cs4TlHg12Pt3
Simulated X-ray diffraction stick pattern, Cu Kα (weighted mean of Kα1 and Kα2). Input: the PBE geometry in Alexandria.
Lines closer than 0.1° are merged.

Structural model:
```
data_Cs4TlHg12Pt3
_chemical_formula_sum 'Cs8 Tl2 Hg24 Pt6'
_cell_length_a 11.110
_cell_length_b 11.110
_cell_length_c 11.110
_cell_angle_alpha 90.00
_cell_angle_beta 90.00
_cell_angle_gamma 90.00
_space_group_name_H-M_alt 'I m -3 m'
_space_group_IT_number 229
_space_group_name_Hall '-I 4 2 3'
loop_
_atom_site_label
_atom_site_type_symbol
_atom_site_fract_x
_atom_site_fract_y
_atom_site_fract_z
_atom_site_occupancy
Cs1 Cs 0.250 0.250 0.250 1
Tl1 Tl 0.000 0.000 0.000 1
Hg1 Hg 0.000 0.000 0.262 1
Hg2 Hg 0.000 0.250 0.500 1
Pt1 Pt 0.000 0.000 0.500 1
```

Main lines, sorted by position (5° ≤ 2θ ≤ 70°):
two_theta  intensity  h k l
15.95  43.1  2 0 0
22.64  9.3  2 2 0
27.82  65.5  2 2 2
32.23  100.0  4 0 0
36.16  23.9  4 2 0
46.22  73.8  4 4 0
49.20  12.7  6 0 0
54.81  29.5  6 2 2
57.47  25.7  4 4 4
60.05  6.1  6 4 0
67.43  11.9  8 0 0
69.80  7.1  6 4 4


# Cs2PuHg2Se4
Simulated X-ray diffraction stick pattern, Cu Kα (weighted mean of Kα1 and Kα2). Input: the PBE geometry in Alexandria.
Lines closer than 0.1° are merged.

Structural model:
```
data_Cs2PuHg2Se4
_chemical_formula_sum 'Cs4 Pu2 Hg4 Se8'
_cell_length_a 17.342
_cell_length_b 4.229
_cell_length_c 8.929
_cell_angle_alpha 90.00
_cell_angle_beta 113.94
_cell_angle_gamma 90.00
_space_group_name_H-M_alt 'C 1 2/m 1'
_space_group_IT_number 12
loop_
_space_group_symop_operation_xyz
'x,y,z'
'-x,-y,-z'
'-x,y,-z'
'x,-y,z'
'x+1/2,y+1/2,z'
'-x+1/2,-y+1/2,-z'
'-x+1/2,y+1/2,-z'
'x+1/2,-y+1/2,z'
loop_
_atom_site_label
_atom_site_type_symbol
_atom_site_fract_x
_atom_site_fract_y
_atom_site_fract_z
_atom_site_occupancy
Cs1 Cs 0.128 0.000 0.072 1
Pu1 Pu 0.000 0.000 0.500 1
Hg1 Hg 0.193 0.500 0.522 1
Se1 Se 0.023 0.500 0.296 1
Se2 Se 0.173 0.000 0.717 1
```

Main lines, sorted by position (5° ≤ 2θ ≤ 70°):
two_theta  intensity  h k l
10.84  100.0  0 0 1
21.77  30.9  0 0 2
26.43  57.1  3 1 -1
28.76  33.6  4 0 1
29.27  14.5  1 1 -2
30.20  77.2  3 1 -2
31.71  36.6  3 1 1
33.93  18.2  6 0 0
37.11  23.9  3 1 -3
42.75  35.7  0 2 0
48.46  26.5  3 1 3
52.17  18.6  9 1 -2


# Cs3Rb4Hg3
Simulated X-ray diffraction stick pattern, Cu Kα (weighted mean of Kα1 and Kα2). Input: the PBE geometry in Alexandria.
Lines closer than 0.1° are merged.

Structural model:
```
data_Cs3Rb4Hg3
_chemical_formula_sum 'Cs12 Rb16 Hg12'
_cell_length_a 13.700
_cell_length_b 13.700
_cell_length_c 13.700
_cell_angle_alpha 90.00
_cell_angle_beta 90.00
_cell_angle_gamma 90.00
_space_group_name_H-M_alt 'I -4 3 d'
_space_group_IT_number 220
_space_group_name_Hall 'I -4bd 2c 3'
loop_
_atom_site_label
_atom_site_type_symbol
_atom_site_fract_x
_atom_site_fract_y
_atom_site_fract_z
_atom_site_occupancy
Cs1 Cs 0.000 0.250 0.875 1
Rb1 Rb 0.082 0.418 0.582 1
Hg1 Hg 0.000 0.250 0.375 1
```

Main lines, sorted by position (5° ≤ 2θ ≤ 70°):
two_theta  intensity  h k l
15.85  43.0  2 1 1
24.31  100.0  3 2 1
29.15  64.0  4 2 0
30.61  16.2  3 3 2
32.01  15.4  4 2 2
33.35  16.6  5 1 0
35.90  17.6  5 2 1
41.70  14.4  6 2 0
45.89  15.7  4 4 4
47.88  16.4  6 4 0
48.85  21.9  5 5 2
62.10  15.2  8 4 2


# Cs2Rb2Hg
Simulated X-ray diffraction stick pattern, Cu Kα (weighted mean of Kα1 and Kα2). Input: the PBE geometry in Alexandria.
Lines closer than 0.1° are merged.

Structural model:
```
data_Cs2Rb2Hg
_chemical_formula_sum 'Cs2 Rb2 Hg1'
_cell_length_a 7.561
_cell_length_b 7.561
_cell_length_c 7.327
_cell_angle_alpha 90.00
_cell_angle_beta 90.00
_cell_angle_gamma 90.00
_space_group_name_H-M_alt 'P 4/m m m'
_space_group_IT_number 123
_space_group_name_Hall '-P 4 2'
loop_
_atom_site_label
_atom_site_type_symbol
_atom_site_fract_x
_atom_site_fract_y
_atom_site_fract_z
_atom_site_occupancy
Cs1 Cs 0.000 0.500 0.000 1
Rb1 Rb 0.000 0.000 0.500 1
Rb2 Rb 0.500 0.500 0.500 1
Hg1 Hg 0.000 0.000 0.000 1
```

Main lines, sorted by position (5° ≤ 2θ ≤ 70°):
two_theta  intensity  h k l
11.70  46.0  1 0 0
12.08  44.8  0 0 1
16.85  41.9  1 0 1
20.56  39.4  1 1 1
23.53  100.0  2 0 0
24.30  46.3  0 0 2
26.53  30.0  2 0 1
33.52  40.4  2 2 0
34.08  77.3  2 0 2
41.83  43.6  2 2 2
55.78  26.6  2 0 4
60.29  29.6  4 2 2


# Cs6Rb9Hg
Simulated X-ray diffraction stick pattern, Cu Kα (weighted mean of Kα1 and Kα2). Input: the PBE geometry in Alexandria.
Lines closer than 0.1° are merged.

Structural model:
```
data_Cs6Rb9Hg
_chemical_formula_sum 'Cs12 Rb18 Hg2'
_cell_length_a 11.603
_cell_length_b 11.603
_cell_length_c 22.014
_cell_angle_alpha 90.00
_cell_angle_beta 90.00
_cell_angle_gamma 90.00
_space_group_name_H-M_alt 'I 4/m'
_space_group_IT_number 87
_space_group_name_Hall '-I 4'
loop_
_atom_site_label
_atom_site_type_symbol
_atom_site_fract_x
_atom_site_fract_y
_atom_site_fract_z
_atom_site_occupancy
Cs1 Cs 0.000 0.000 0.173 1
Cs2 Cs 0.112 0.308 0.000 1
Rb1 Rb 0.000 0.000 0.500 1
Rb2 Rb 0.100 0.302 0.331 1
Hg1 Hg 0.000 0.000 0.000 1
```

Main lines, sorted by position (5° ≤ 2θ ≤ 70°):
two_theta  intensity  h k l
8.03  9.0  0 0 2
8.61  23.1  1 0 1
20.97  100.0  2 1 3
24.26  87.0  1 3 0
34.57  71.8  4 2 0
40.78  49.2  2 1 9
42.68  24.6  4 2 6
49.70  11.5  0 0 12
54.51  19.9  5 0 9
56.04  32.0  1 3 12
61.95  23.2  4 2 12
66.17  14.7  2 1 15


# Cs9Rb4Hg
Simulated X-ray diffraction stick pattern, Cu Kα (weighted mean of Kα1 and Kα2). Input: the PBE geometry in Alexandria.
Lines closer than 0.1° are merged.

Structural model:
```
data_Cs9Rb4Hg
_chemical_formula_sum 'Cs18 Rb8 Hg2'
_cell_length_a 14.6224
_cell_length_b 14.6224
_cell_length_c 14.7492
_cell_angle_alpha 90.00
_cell_angle_beta 90.00
_cell_angle_gamma 120.00
_space_group_name_H-M_alt 'P 63/m m c'
_space_group_IT_number 194
_space_group_name_Hall '-P 6c 2c'
loop_
_atom_site_label
_atom_site_type_symbol
_atom_site_fract_x
_atom_site_fract_y
_atom_site_fract_z
_atom_site_occupancy
Cs1 Cs 0.0760 0.5380 0.2500 1
Cs2 Cs 0.2125 0.4251 0.5661 1
Rb1 Rb 0.0000 0.0000 0.0000 1
Rb2 Rb 0.1129 0.2259 0.2500 1
Hg1 Hg 0.3333 0.6667 0.7500 1
```

Main lines, sorted by position (5° ≤ 2θ ≤ 70°):
two_theta  intensity  h k l
9.20  22.8  1 0 1
18.50  22.0  2 0 2
19.37  17.5  1 0 3
21.90  67.6  3 0 1
22.14  100.0  2 1 2
22.90  51.4  2 0 3
24.35  17.4  2 2 0
35.92  27.4  3 2 3
36.88  32.5  3 3 0
37.19  34.7  3 0 5
37.55  22.8  5 0 2
43.87  23.5  5 1 3


# Cs6Rb12Hg
Simulated X-ray diffraction stick pattern, Cu Kα (weighted mean of Kα1 and Kα2). Input: the PBE geometry in Alexandria.
Lines closer than 0.1° are merged.

Structural model:
```
data_Cs6Rb12Hg
_chemical_formula_sum 'Cs18 Rb36 Hg3'
_cell_length_a 15.5522
_cell_length_b 15.5522
_cell_length_c 25.1697
_cell_angle_alpha 90.00
_cell_angle_beta 90.00
_cell_angle_gamma 120.00
_space_group_name_H-M_alt 'R -3 m'
_space_group_IT_number 166
_space_group_name_Hall '-R 3 2"'
loop_
_atom_site_label
_atom_site_type_symbol
_atom_site_fract_x
_atom_site_fract_y
_atom_site_fract_z
_atom_site_occupancy
Cs1 Cs 0.1018 0.5509 0.2547 1
Rb1 Rb 0.1093 0.2186 0.9134 1
Rb2 Rb 0.1097 0.2193 0.2489 1
Hg1 Hg 0.0000 0.0000 0.5000 1
```

Main lines, sorted by position (5° ≤ 2θ ≤ 70°):
two_theta  intensity  h k l
7.44  15.6  1 0 1
19.78  13.5  3 0 0
21.18  19.6  0 0 6
22.46  100.0  0 3 3
29.13  28.7  3 0 6
34.61  25.8  3 3 0
37.90  24.5  3 0 9
40.93  20.5  3 3 6
41.65  18.6  6 0 3
55.23  16.3  3 6 3
56.43  11.9  3 3 12
58.72  13.1  0 3 15


# Cs2Rb5Hg5
Simulated X-ray diffraction stick pattern, Cu Kα (weighted mean of Kα1 and Kα2). Input: the PBE geometry in Alexandria.
Lines closer than 0.1° are merged.

Structural model:
```
data_Cs2Rb5Hg5
_chemical_formula_sum 'Cs2 Rb5 Hg5'
_cell_length_a 5.240
_cell_length_b 11.568
_cell_length_c 11.675
_cell_angle_alpha 70.19
_cell_angle_beta 77.07
_cell_angle_gamma 90.00
_space_group_name_H-M_alt 'P -1'
_space_group_IT_number 2
loop_
_space_group_symop_operation_xyz
'x,y,z'
'-x,-y,-z'
loop_
_atom_site_label
_atom_site_type_symbol
_atom_site_fract_x
_atom_site_fract_y
_atom_site_fract_z
_atom_site_occupancy
Cs1 Cs 0.183 0.094 0.133 1
Rb1 Rb 0.345 0.573 0.812 1
Rb2 Rb 0.416 0.280 0.668 1
Rb3 Rb 0.500 0.000 0.500 1
Hg1 Hg 0.000 0.500 0.500 1
Hg2 Hg 0.030 0.256 0.436 1
Hg3 Hg 0.200 0.701 0.100 1
```

Main lines, sorted by position (5° ≤ 2θ ≤ 70°):
two_theta  intensity  h k l
8.15  19.8  0 1 0
17.43  38.5  1 0 0
24.16  100.0  1 -1 2
24.47  22.1  0 3 2
24.70  24.9  0 2 3
24.99  64.3  1 2 0
26.94  70.0  1 0 -2
27.53  38.4  -1 2 2
29.02  63.9  1 3 2
34.21  58.0  2 0 1
35.47  21.1  -1 4 1
56.66  24.5  1 -5 3


# Cs5RbHg
Simulated X-ray diffraction stick pattern, Cu Kα (weighted mean of Kα1 and Kα2). Input: the PBE geometry in Alexandria.
Lines closer than 0.1° are merged.

Structural model:
```
data_Cs5RbHg
_chemical_formula_sum 'Cs20 Rb4 Hg4'
_cell_length_a 16.977
_cell_length_b 10.290
_cell_length_c 16.248
_cell_angle_alpha 90.00
_cell_angle_beta 112.69
_cell_angle_gamma 90.00
_space_group_name_H-M_alt 'C 1 2/c 1'
_space_group_IT_number 15
loop_
_space_group_symop_operation_xyz
'x,y,z'
'-x,-y,-z'
'-x,y,-z+1/2'
'x,-y,z+1/2'
'x+1/2,y+1/2,z'
'-x+1/2,-y+1/2,-z'
'-x+1/2,y+1/2,-z+1/2'
'x+1/2,-y+1/2,z+1/2'
loop_
_atom_site_label
_atom_site_type_symbol
_atom_site_fract_x
_atom_site_fract_y
_atom_site_fract_z
_atom_site_occupancy
Cs1 Cs 0.000 0.030 0.250 1
Cs2 Cs 0.136 0.310 0.052 1
Cs3 Cs 0.202 0.196 0.619 1
Rb1 Rb 0.000 0.464 0.750 1
Hg1 Hg 0.000 0.000 0.000 1
```

Main lines, sorted by position (5° ≤ 2θ ≤ 70°):
two_theta  intensity  h k l
10.29  53.9  1 1 0
12.82  24.1  2 0 -2
20.24  54.2  2 2 -1
20.66  100.0  2 2 0
21.16  33.9  4 0 -2
21.99  98.6  2 0 -4
24.84  38.0  0 2 3
28.65  34.3  4 2 0
29.49  36.6  0 2 4
31.19  41.2  4 2 -4
34.38  36.7  6 0 0
43.07  30.0  8 0 -4


# CsRb6Hg6
Simulated X-ray diffraction stick pattern, Cu Kα (weighted mean of Kα1 and Kα2). Input: the PBE geometry in Alexandria.
Lines closer than 0.1° are merged.

Structural model:
```
data_CsRb6Hg6
_chemical_formula_sum 'Cs2 Rb12 Hg12'
_cell_length_a 7.433
_cell_length_b 12.489
_cell_length_c 13.202
_cell_angle_alpha 90.00
_cell_angle_beta 90.00
_cell_angle_gamma 90.00
_space_group_name_H-M_alt 'I m m m'
_space_group_IT_number 71
_space_group_name_Hall '-I 2 2'
loop_
_atom_site_label
_atom_site_type_symbol
_atom_site_fract_x
_atom_site_fract_y
_atom_site_fract_z
_atom_site_occupancy
Cs1 Cs 0.000 0.000 0.000 1
Rb1 Rb 0.000 0.000 0.344 1
Rb2 Rb 0.000 0.321 0.000 1
Rb3 Rb 0.000 0.500 0.321 1
Hg1 Hg 0.000 0.263 0.500 1
Hg2 Hg 0.250 0.250 0.250 1
```

Main lines, sorted by position (5° ≤ 2θ ≤ 70°):
two_theta  intensity  h k l
14.18  51.9  0 2 0
27.01  32.4  0 0 4
27.54  100.0  2 0 2
27.94  20.0  2 2 0
28.59  41.1  0 4 0
30.64  46.8  0 2 4
31.11  91.9  2 2 2
39.74  17.9  0 4 4
40.12  31.1  2 4 2
48.05  25.1  2 0 6
56.87  31.8  2 4 6
57.75  21.8  4 4 0


# Cs2Rb17Hg2
Simulated X-ray diffraction stick pattern, Cu Kα (weighted mean of Kα1 and Kα2). Input: the PBE geometry in Alexandria.
Lines closer than 0.1° are merged.

Structural model:
```
data_Cs2Rb17Hg2
_chemical_formula_sum 'Cs4 Rb34 Hg4'
_cell_length_a 19.188
_cell_length_b 15.694
_cell_length_c 12.527
_cell_angle_alpha 90.00
_cell_angle_beta 99.89
_cell_angle_gamma 90.00
_space_group_name_H-M_alt 'C 1 2/m 1'
_space_group_IT_number 12
loop_
_space_group_symop_operation_xyz
'x,y,z'
'-x,-y,-z'
'-x,y,-z'
'x,-y,z'
'x+1/2,y+1/2,z'
'-x+1/2,-y+1/2,-z'
'-x+1/2,y+1/2,-z'
'x+1/2,-y+1/2,z'
loop_
_atom_site_label
_atom_site_type_symbol
_atom_site_fract_x
_atom_site_fract_y
_atom_site_fract_z
_atom_site_occupancy
Cs1 Cs 0.201 0.000 0.378 1
Rb1 Rb 0.000 0.159 0.000 1
Rb2 Rb 0.000 0.500 0.500 1
Rb3 Rb 0.098 0.500 0.900 1
Rb4 Rb 0.099 0.243 0.645 1
Rb5 Rb 0.128 0.342 0.272 1
Rb6 Rb 0.169 0.000 0.816 1
Rb7 Rb 0.250 0.250 0.000 1
Hg1 Hg 0.250 0.250 0.500 1
```

Main lines, sorted by position (5° ≤ 2θ ≤ 70°):
two_theta  intensity  h k l
7.16  21.4  0 0 1
9.36  18.8  2 0 0
19.32  13.5  1 3 1
21.67  100.0  4 0 -2
22.03  12.6  1 1 -3
22.08  21.4  3 3 0
22.25  24.1  1 3 -2
22.66  20.8  0 4 0
24.19  13.3  5 1 0
24.44  16.9  4 2 -2
26.11  15.2  4 0 -3
39.22  22.1  2 6 2